(1)
This entry pairs a crystal structure of LiBiP2O7 with its simulated powder diffraction line list. Radiation: Cu Kα (λ = 1.5418 Å). Structure: a crystal structure in Alexandria, relaxed with PBE.
Intensities are scaled so that the largest is 100.

The 8 most intense peaks (2θ from 15° to 90°), by angle:
- d = 5.415 Å, intensity 100
- d = 4.475 Å, intensity 49
- d = 3.867 Å, intensity 52
- d = 3.505 Å, intensity 29
- d = 3.333 Å, intensity 36
- d = 2.900 Å, intensity 19
- d = 2.732 Å, intensity 25
- d = 2.708 Å, intensity 21

Atomic structure:
```
data_LiBiP2O7
_cell_length_a 5.035
_cell_length_b 8.949
_cell_length_c 6.855
_cell_angle_alpha 90.00
_cell_angle_beta 97.09
_cell_angle_gamma 90.00
_symmetry_space_group_name_H-M 'P 1 21 1'
_symmetry_Int_Tables_number 4
loop_
_symmetry_equiv_pos_as_xyz
'x,y,z'
'-x,y+1/2,-z'
loop_
_atom_site_label
_atom_site_type_symbol
_atom_site_fract_x
_atom_site_fract_y
_atom_site_fract_z
Li1 Li 0.125 0.000 0.288
Bi1 Bi 0.101 0.888 0.755
P1 P 0.358 0.308 0.561
P2 P 0.361 0.207 0.986
O1 O 0.191 0.447 0.587
O2 O 0.195 0.345 0.022
O3 O 0.205 0.210 0.396
O4 O 0.236 0.056 0.028
O5 O 0.346 0.716 0.917
O6 O 0.352 0.844 0.469
O7 O 0.374 0.197 0.751
```

---

(2)
This entry pairs a crystal structure of LiBiP4O12 with its simulated powder diffraction line list. Radiation: Cu Kα (λ = 1.5418 Å). Structure: a crystal structure in Alexandria, relaxed with PBE.
Intensities are scaled so that the largest is 100.

The 8 most intense peaks (2θ from 15° to 90°), by angle:
- d = 5.795 Å, intensity 67
- d = 5.756 Å, intensity 100
- d = 5.556 Å, intensity 63
- d = 5.125 Å, intensity 66
- d = 4.497 Å, intensity 58
- d = 3.495 Å, intensity 75
- d = 3.380 Å, intensity 65
- d = 2.785 Å, intensity 45

Atomic structure:
```
data_LiBiP4O12
_cell_length_a 7.515
_cell_length_b 8.993
_cell_length_c 7.602
_cell_angle_alpha 90.00
_cell_angle_beta 94.62
_cell_angle_gamma 90.00
_symmetry_space_group_name_H-M 'P 1 21 1'
_symmetry_Int_Tables_number 4
loop_
_symmetry_equiv_pos_as_xyz
'x,y,z'
'-x,y+1/2,-z'
loop_
_atom_site_label
_atom_site_type_symbol
_atom_site_fract_x
_atom_site_fract_y
_atom_site_fract_z
Li1 Li 0.158 0.000 0.341
Bi1 Bi 0.244 0.423 0.793
P1 P 0.114 0.038 0.905
P2 P 0.124 0.640 0.398
P3 P 0.408 0.819 0.886
P4 P 0.467 0.482 0.431
O1 O 0.048 0.012 0.085
O2 O 0.057 0.530 0.236
O3 O 0.068 0.795 0.353
O4 O 0.071 0.576 0.570
O5 O 0.213 0.891 0.841
O6 O 0.227 0.173 0.883
O7 O 0.336 0.623 0.388
O8 O 0.353 0.034 0.508
O9 O 0.369 0.374 0.545
O10 O 0.392 0.659 0.833
O11 O 0.461 0.405 0.239
O12 O 0.473 0.861 0.072
```

---

(3)
This entry pairs a crystal structure of LiPaBiO6 with its simulated powder diffraction line list. Radiation: Cu Kα (λ = 1.5418 Å). Structure: a crystal structure in Alexandria, relaxed with PBE.
Intensities are scaled so that the largest is 100.

The 8 most intense peaks (2θ from 15° to 90°), by angle:
- d = 4.630 Å, intensity 34
- d = 3.369 Å, intensity 100
- d = 2.673 Å, intensity 29
- d = 2.094 Å, intensity 28
- d = 1.808 Å, intensity 29
- d = 1.648 Å, intensity 27
- d = 1.543 Å, intensity 21
- d = 1.242 Å, intensity 11

Atomic structure:
```
data_LiPaBiO6
_cell_length_a 5.3457
_cell_length_b 5.3457
_cell_length_c 4.9105
_cell_angle_alpha 90.00
_cell_angle_beta 90.00
_cell_angle_gamma 120.00
_symmetry_space_group_name_H-M 'P 3 1 2'
_symmetry_Int_Tables_number 149
loop_
_symmetry_equiv_pos_as_xyz
'x,y,z'
'-y,x-y,z'
'-x+y,-x,z'
'-y,-x,-z'
'-x+y,y,-z'
'x,x-y,-z'
loop_
_atom_site_label
_atom_site_type_symbol
_atom_site_fract_x
_atom_site_fract_y
_atom_site_fract_z
Li1 Li 0.0000 0.0000 0.0000
Pa1 Pa 0.3333 0.6667 0.5000
Bi1 Bi 0.6667 0.3333 0.0000
O1 O 0.3374 0.0009 0.7564
```

---

(4)
This entry pairs a crystal structure of LiBiPbO4 with its simulated powder diffraction line list. Radiation: Cu Kα (λ = 1.5418 Å). Structure: a crystal structure in Alexandria, relaxed with PBE.
Intensities are scaled so that the largest is 100.

The 8 most intense peaks (2θ from 15° to 90°), by angle:
- d = 5.726 Å, intensity 100
- d = 5.503 Å, intensity 83
- d = 2.976 Å, intensity 40
- d = 2.881 Å, intensity 35
- d = 2.863 Å, intensity 49
- d = 2.752 Å, intensity 45
- d = 2.427 Å, intensity 58
- d = 1.719 Å, intensity 41

Atomic structure:
```
data_LiBiPbO4
_cell_length_a 6.669
_cell_length_b 7.077
_cell_length_c 9.744
_cell_angle_alpha 90.00
_cell_angle_beta 90.00
_cell_angle_gamma 90.00
_symmetry_space_group_name_H-M 'I m m a'
_symmetry_Int_Tables_number 74
_symmetry_space_group_name_Hall '-I 2b 2'
loop_
_atom_site_label
_atom_site_type_symbol
_atom_site_fract_x
_atom_site_fract_y
_atom_site_fract_z
Li1 Li 0.000 0.250 0.085
Bi1 Bi 0.000 0.000 0.500
Pb1 Pb 0.250 0.250 0.750
O1 O 0.000 0.037 0.745
O2 O 0.242 0.250 0.522
```